[1]
Diffraction record for Pm2Ni4BiSb3. The powder diffractogram is theoretical, not measured: it uses the PBE geometry in Alexandria and Cu Kα (weighted mean of Kα1 and Kα2).

Structure:
Cell: 4.4933 4.4933 10.1585 Å, 90.00 90.00 90.00°
Space group P-4m2 (No. 115)
Unique sites:
Pm (0.0000, 0.5000, 0.2291) x2
Ni (0.0000, 0.0000, 0.0000) x1
Ni (0.0000, 0.5000, 0.6323) x2
Ni (0.5000, 0.5000, 0.0000) x1
Bi (0.0000, 0.0000, 0.5000) x1
Sb (0.0000, 0.5000, 0.8762) x2
Sb (0.5000, 0.5000, 0.5000) x1

Main lines, low angle first (10 to 90 degrees two-theta):
index, d (Å), 2θ (°), Rel. int.
0 0 3, 3.386, 26.3, 11
1 1 1, 3.032, 29.5, 25
1 0 3, 2.704, 33.1, 51
1 1 2, 2.694, 33.3, 100
2 0 0, 2.247, 40.1, 67
1 1 4, 1.984, 45.7, 24
1 0 5, 1.851, 49.2, 15
2 1 3, 1.728, 53.0, 26
2 2 0, 1.589, 58.1, 22
1 1 6, 1.494, 62.1, 12
2 1 5, 1.429, 65.3, 13
3 1 2, 1.369, 68.6, 30

---

[2]
Diffraction record for NiBi6Pt. The powder diffractogram is theoretical, not measured: it uses the PBE geometry in Alexandria and Cu Kα (weighted mean of Kα1 and Kα2).

Structure:
Cell: 13.8649 9.8163 9.8199 Å, 90.00 134.84 90.00°
Space group C2/m (No. 12)
Unique sites:
Ni (0.2500, 0.2500, 0.0000) x4
Bi (0.0071, 0.1642, 0.6670) x8
Bi (0.1542, 0.5000, 0.3085) x4
Bi (0.1640, 0.1601, 0.1572) x8
Bi (0.1653, 0.5000, 0.9911) x4
Pt (0.2500, 0.2500, 0.5000) x4

Main lines, low angle first (10 to 90 degrees two-theta):
index, d (Å), 2θ (°), Rel. int.
2 0 -1, 6.939, 12.8, 10
0 2 1, 4.011, 22.2, 10
4 0 -1, 3.106, 28.7, 100
2 2 -3, 2.628, 34.1, 24
3 3 -1, 2.622, 34.2, 19
2 0 2, 2.199, 41.0, 11
6 0 -4, 2.195, 41.1, 19
2 2 2, 2.007, 45.2, 10
6 2 -4, 2.002, 45.3, 12
4 4 -3, 1.925, 47.2, 13
3 5 -3, 1.684, 54.5, 10
5 3 -6, 1.448, 64.4, 16

---

[3]
Diffraction record for PuNi4Bi. The powder diffractogram is theoretical, not measured: it uses the PBE geometry in Alexandria and Cu Kα (weighted mean of Kα1 and Kα2).

Structure:
Cell: 7.1843 7.1843 7.1843 Å, 90.00 90.00 90.00°
Space group F-43m (No. 216)
Unique sites:
Pu (0.0000, 0.0000, 0.0000) x4
Ni (0.1260, 0.1260, 0.3740) x16
Bi (0.2500, 0.2500, 0.7500) x4

Main lines, low angle first (10 to 90 degrees two-theta):
index, d (Å), 2θ (°), Rel. int.
1 1 1, 4.148, 21.4, 29
2 2 0, 2.540, 35.3, 78
3 1 1, 2.166, 41.7, 100
2 2 2, 2.074, 43.6, 10
4 0 0, 1.796, 50.8, 3
3 3 1, 1.648, 55.8, 8
4 2 2, 1.466, 63.4, 30
3 3 3, 1.383, 67.8, 32
4 4 0, 1.270, 74.7, 22
5 3 1, 1.214, 78.8, 7
6 2 0, 1.136, 85.5, 14
5 3 3, 1.096, 89.4, 12

---

[4]
Diffraction record for PuNiBiRh. The powder diffractogram is theoretical, not measured: it uses the PBE geometry in Alexandria and Cu Kα (weighted mean of Kα1 and Kα2).

Structure:
Cell: 6.7660 6.7660 6.7660 Å, 90.00 90.00 90.00°
Space group F-43m (No. 216)
Unique sites:
Pu (0.0000, 0.0000, 0.0000) x4
Ni (0.2500, 0.2500, 0.2500) x4
Bi (0.0000, 0.0000, 0.5000) x4
Rh (0.2500, 0.2500, 0.7500) x4

Main lines, low angle first (10 to 90 degrees two-theta):
index, d (Å), 2θ (°), Rel. int.
1 1 1, 3.906, 22.8, 2
2 0 0, 3.383, 26.3, 24
2 2 0, 2.392, 37.6, 100
3 1 1, 2.040, 44.4, 1
2 2 2, 1.953, 46.5, 7
4 0 0, 1.692, 54.2, 18
4 2 0, 1.513, 61.3, 10
4 2 2, 1.381, 67.9, 36
4 4 0, 1.196, 80.3, 11
6 0 0, 1.128, 86.3, 6